# 1
Diffraction record for CaTiMnP3O12. The powder XRD pattern is computed, not measured: it uses a GGA+U-relaxed structure and a wavelength of 1.5418 Å.

Atomic structure:
```
CaTiMnP3O12
1.0
4.332 2.501 7.331
-4.332 2.501 7.331
0.000 -5.002 7.331
Ca Ti Mn P O
2 2 2 6 24
Cartesian
0.000 0.000 0.000 Ca
0.000 0.000 10.996 Ca
0.000 0.000 3.267 Ti
0.000 0.000 14.263 Ti
0.000 0.000 7.822 Mn
0.000 0.000 18.818 Mn
-3.082 -0.326 9.220 P
-1.250 -2.827 12.885 P
1.823 -2.506 9.220 P
-1.823 2.496 12.885 P
1.259 2.832 9.220 P
3.073 0.331 12.885 P
-0.899 -1.348 4.272 O
-3.379 -1.089 10.503 O
-3.753 1.084 9.210 O
-2.785 -2.663 12.857 O
-0.747 -1.531 6.837 O
-0.718 1.453 4.272 O
-1.547 -0.162 9.192 O
0.938 -3.792 9.210 O
-0.953 1.412 6.837 O
1.617 -0.104 4.272 O
-0.579 -1.417 12.876 O
0.914 -1.259 9.192 O
-1.617 -0.104 15.268 O
1.699 0.119 6.837 O
-0.938 1.210 12.876 O
0.633 1.421 9.192 O
2.632 -2.382 10.503 O
0.899 -1.348 15.268 O
-0.914 3.743 12.857 O
1.517 0.207 12.876 O
0.747 3.471 10.503 O
0.718 1.453 15.268 O
2.815 2.708 9.210 O
3.699 -1.080 12.857 O
```

Largest 10 diffraction maxima, sorted by position, 2θ from 10° to 90°:
4.435 Å, I 13
4.332 Å, I 54
3.729 Å, I 100
3.099 Å, I 16
2.813 Å, I 16
2.798 Å, I 62
2.501 Å, I 24
1.974 Å, I 19
1.865 Å, I 22
1.637 Å, I 17

# 2
Diffraction record for Li2VF6. The powder XRD pattern is computed, not measured: it uses a GGA+U-relaxed structure and a wavelength of 1.5418 Å.

Atomic structure:
```
Li2VF6
1.0
5.200 0.000 0.000
0.000 5.230 0.000
-5.154 0.000 7.639
Li V F
4 2 12
Cartesian
0.000 1.080 0.000 Li
-2.577 4.150 3.819 Li
2.645 1.369 2.078 Li
0.068 3.862 5.898 Li
-2.516 1.307 5.922 V
0.061 3.923 2.102 V
-4.157 2.225 6.368 F
-1.580 3.005 2.549 F
-0.845 0.189 2.617 F
-3.422 5.041 6.436 F
0.785 2.313 1.531 F
-1.792 2.917 5.351 F
-0.934 0.341 5.613 F
1.643 4.890 1.793 F
3.306 1.612 0.051 F
0.729 3.618 3.871 F
2.188 0.897 4.137 F
4.765 4.334 0.318 F
```

Largest 10 diffraction maxima, sorted by position, 2θ from 10° to 90°:
4.314 Å, I 100
4.287 Å, I 31
3.819 Å, I 38
3.688 Å, I 62
2.328 Å, I 21
2.292 Å, I 31
2.232 Å, I 19
2.224 Å, I 21
1.844 Å, I 16
1.699 Å, I 13

# 3
Diffraction record for Li2V2Si5O13. The powder XRD pattern is computed, not measured: it uses a GGA+U-relaxed structure and a wavelength of 1.5418 Å.

Atomic structure:
```
Li2V2Si5O13
1.0
7.455 0.000 0.000
1.915 7.350 0.000
3.668 0.244 9.316
Li V Si O
4 4 10 26
Cartesian
2.893 3.055 2.285 Li
2.850 0.683 3.494 Li
10.187 6.912 5.822 Li
10.145 4.539 7.031 Li
0.923 1.146 0.936 V
8.307 6.496 8.377 V
4.731 1.098 0.939 V
12.115 6.448 8.380 V
4.353 1.820 7.125 Si
4.910 5.214 5.068 Si
4.314 5.711 2.150 Si
6.524 3.589 8.467 Si
4.983 2.286 4.251 Si
8.055 5.308 5.065 Si
6.514 4.005 0.849 Si
8.724 1.883 7.166 Si
8.128 2.380 4.248 Si
8.685 5.775 2.191 Si
4.152 5.832 6.335 O
2.769 5.174 2.243 O
4.510 0.575 8.169 O
5.214 3.139 7.552 O
4.313 3.753 4.619 O
4.668 6.187 3.718 O
6.514 5.204 8.640 O
2.870 2.378 0.475 O
4.720 1.339 5.588 O
4.559 6.994 1.172 O
4.273 1.681 2.949 O
6.485 5.115 5.332 O
5.176 4.396 1.762 O
7.862 3.198 7.554 O
6.553 2.479 3.984 O
8.765 5.913 6.367 O
8.478 0.600 8.144 O
8.318 6.255 3.728 O
10.168 5.216 8.841 O
6.524 2.391 0.676 O
8.370 1.407 5.598 O
8.724 3.841 4.697 O
7.824 4.455 1.764 O
8.528 7.019 1.147 O
10.268 2.420 7.073 O
8.886 1.762 2.981 O
```

Largest 10 diffraction maxima, sorted by position, 2θ from 10° to 90°:
3.674 Å, I 69
3.614 Å, I 72
3.384 Å, I 41
2.976 Å, I 88
2.956 Å, I 93
2.888 Å, I 45
2.848 Å, I 57
2.833 Å, I 100
2.238 Å, I 51
1.864 Å, I 61

# 4
Diffraction record for Li9Mn2Co5O16. The powder XRD pattern is computed, not measured: it uses a GGA+U-relaxed structure and a wavelength of 1.5418 Å.

Atomic structure:
```
Li9Mn2Co5O16
1.0
5.171 0.000 0.000
0.000 5.810 0.000
-1.579 0.000 9.641
Li Mn Co O
9 2 5 16
Cartesian
0.000 0.000 0.000 Li
-0.789 1.467 4.820 Li
-0.789 4.344 4.820 Li
0.097 2.905 7.262 Li
0.107 0.000 7.356 Li
2.586 1.412 0.000 Li
2.586 4.398 0.000 Li
3.486 0.000 2.284 Li
3.496 2.905 2.379 Li
0.000 2.905 0.000 Mn
1.796 0.000 4.820 Mn
0.839 1.426 2.343 Co
0.839 4.384 2.343 Co
1.796 2.905 4.820 Co
2.753 1.426 7.297 Co
2.753 4.384 7.297 Co
-0.817 1.532 8.471 O
-0.817 4.278 8.471 O
0.171 2.905 3.525 O
0.218 0.000 3.669 O
1.575 2.905 1.123 O
1.702 0.000 1.357 O
1.022 1.414 5.913 O
1.022 4.397 5.913 O
2.570 1.414 3.728 O
2.570 4.397 3.728 O
1.890 0.000 8.283 O
2.018 2.905 8.518 O
3.374 0.000 5.972 O
3.421 2.905 6.115 O
4.410 1.532 1.170 O
4.410 4.278 1.170 O
```

Largest 10 diffraction maxima, sorted by position, 2θ from 10° to 90°:
4.845 Å, I 100
2.540 Å, I 14
2.488 Å, I 26
2.396 Å, I 7
2.118 Å, I 28
2.067 Å, I 54
1.917 Å, I 9
1.598 Å, I 9
1.482 Å, I 15
1.476 Å, I 15

# 5
Diffraction record for SrNdMnO4. The powder XRD pattern is computed, not measured: it uses a GGA+U-relaxed structure and a wavelength of 1.5418 Å.

Atomic structure:
```
SrNdMnO4
1.0
3.857 0.000 0.000
0.000 3.857 0.000
0.000 0.000 12.801
Sr Nd Mn O
2 2 2 8
Cartesian
0.000 0.000 0.000 Sr
1.928 1.928 6.401 Sr
0.000 0.000 9.131 Nd
1.928 1.928 2.730 Nd
0.000 0.000 4.575 Mn
1.928 1.928 10.976 Mn
0.000 0.000 2.399 O
0.000 0.000 6.810 O
0.000 1.928 4.435 O
0.000 1.928 10.835 O
1.928 0.000 4.435 O
1.928 0.000 10.835 O
1.928 1.928 0.409 O
1.928 1.928 8.799 O
```

Largest 10 diffraction maxima, sorted by position, 2θ from 10° to 90°:
3.693 Å, I 24
2.861 Å, I 100
2.727 Å, I 67
2.133 Å, I 28
2.076 Å, I 28
1.928 Å, I 35
1.680 Å, I 17
1.652 Å, I 17
1.599 Å, I 39
1.431 Å, I 21